1.
U2MnAs2O20: theoretical XRD peak list (a wavelength of 1.5418 Å), based on a DFT-relaxed cell (GGA+U, the Materials Project).
Intensities are scaled so that the largest is 100.

Principal peaks in the range 10° ≤ 2θ ≤ 90°, in order of rising 2θ:
- 10.21°, I = 100, hkl 0 1 1
- 17.84°, I = 26, hkl -1 1 1
- 18.42°, I = 19, hkl 0 2 0
- 21.01°, I = 24, hkl 0 1 3
- 24.70°, I = 28, hkl 2 1 1
- 24.92°, I = 48, hkl 0 1 -3

Cell and atoms:
```
data_U2MnAs2O20
_space_group_name_H-M_alt 'P -1'
_space_group_IT_number 2
_cell_length_a 7.333
_cell_length_b 10.120
_cell_length_c 13.118
_cell_angle_alpha 75.61
_cell_angle_beta 81.83
_cell_angle_gamma 77.70
loop_
_space_group_symop_operation_xyz
'x,y,z'
'-x,-y,-z'
loop_
_atom_site_label
_atom_site_type_symbol
_atom_site_fract_x
_atom_site_fract_y
_atom_site_fract_z
U1 U 0.214 0.218 0.418
U2 U 0.225 0.697 0.898
Mn1 Mn 0.442 0.410 0.758
As1 As 0.245 0.373 0.127
As2 As 0.254 0.869 0.613
O1 O 0.035 0.652 0.235
O2 O 0.046 0.289 0.843
O3 O 0.083 0.292 0.097
O4 O 0.092 0.794 0.576
O5 O 0.146 0.924 0.212
O6 O 0.157 0.357 0.488
O7 O 0.168 0.835 0.968
O8 O 0.172 0.844 0.304
O9 O 0.201 0.379 0.258
O10 O 0.219 0.848 0.749
O11 O 0.221 0.537 0.044
O12 O 0.222 0.045 0.561
O13 O 0.273 0.087 0.340
O14 O 0.276 0.987 0.162
O15 O 0.290 0.542 0.812
O16 O 0.334 0.328 0.706
O17 O 0.413 0.522 0.330
O18 O 0.449 0.694 0.148
O19 O 0.475 0.298 0.101
O20 O 0.476 0.790 0.579
```

***

2.
YMn2AsO4: theoretical XRD peak list (a wavelength of 1.5418 Å), based on a DFT-relaxed cell (GGA+U, the Materials Project).
Intensities are scaled so that the largest is 100.

Principal peaks in the range 10° ≤ 2θ ≤ 90°, in order of rising 2θ:
- 13.62°, I = 71, hkl 0 2 0
- 14.35°, I = 37, hkl 1 1 0
- 25.38°, I = 92, hkl 2 0 0
- 30.70°, I = 100, hkl 0 2 2
- 39.16°, I = 36, hkl 0 4 2
- 40.24°, I = 77, hkl 2 2 2

Cell and atoms:
```
data_YMn2AsO4
_space_group_name_H-M_alt 'P b a n'
_space_group_IT_number 50
_cell_length_a 7.020
_cell_length_b 12.972
_cell_length_c 6.520
_cell_angle_alpha 90.00
_cell_angle_beta 90.00
_cell_angle_gamma 90.00
loop_
_space_group_symop_operation_xyz
'x,y,z'
'-x,-y,-z'
'-x+1/2,-y+1/2,z'
'x+1/2,y+1/2,-z'
'x,-y+1/2,-z'
'-x,y+1/2,z'
'-x+1/2,y,-z'
'x+1/2,-y,z'
loop_
_atom_site_label
_atom_site_type_symbol
_atom_site_fract_x
_atom_site_fract_y
_atom_site_fract_z
Y1 Y 0.000 0.000 0.000
Mn1 Mn 0.075 0.202 0.205
As1 As 0.000 0.000 0.500
O1 O 0.109 0.590 0.257
O2 O 0.111 0.149 0.860
```

***

3.
Mn3Zn2AsO12: theoretical XRD peak list (a wavelength of 1.5418 Å), based on a DFT-relaxed cell (GGA+U, the Materials Project).
Intensities are scaled so that the largest is 100.

Principal peaks in the range 10° ≤ 2θ ≤ 90°, in order of rising 2θ:
- 11.44°, I = 21, hkl 0 0 1
- 12.77°, I = 100, hkl 2 0 -1
- 17.35°, I = 19, hkl 4 0 -1
- 23.25°, I = 16, hkl 2 0 -2
- 25.69°, I = 27, hkl 4 0 -2
- 35.13°, I = 37, hkl 5 1 0

Cell and atoms:
```
data_Mn3Zn2AsO12
_space_group_name_H-M_alt 'C 1 m 1'
_space_group_IT_number 8
_cell_length_a 24.619
_cell_length_b 2.997
_cell_length_c 7.793
_cell_angle_alpha 90.00
_cell_angle_beta 97.14
_cell_angle_gamma 90.00
loop_
_space_group_symop_operation_xyz
'x,y,z'
'x,-y,z'
'x+1/2,y+1/2,z'
'x+1/2,-y+1/2,z'
loop_
_atom_site_label
_atom_site_type_symbol
_atom_site_fract_x
_atom_site_fract_y
_atom_site_fract_z
Mn1 Mn 0.000 0.000 0.000
Mn2 Mn 0.084 0.500 0.302
Mn3 Mn 0.411 0.000 0.795
Zn1 Zn 0.200 0.000 0.457
Zn2 Zn 0.319 0.500 0.606
As1 As 0.110 0.500 0.807
O1 O 0.035 0.000 0.240
O2 O 0.062 0.500 0.947
O3 O 0.096 0.500 0.594
O4 O 0.137 0.000 0.313
O5 O 0.151 0.000 0.868
O6 O 0.239 0.500 0.179
O7 O 0.265 0.000 0.584
O8 O 0.288 0.500 0.156
O9 O 0.368 0.500 0.851
O10 O 0.373 0.000 0.575
O11 O 0.456 0.000 0.031
O12 O 0.464 0.500 0.769
```